Entry 1:
Starting from DFT lattice parameters and positions (PBE), the powder XRD pattern of Li2NdAg4 was simulated for Cu Kα.

Top 10 peaks for 10 to 90 degrees two-theta, in order of rising 2θ:
5.118 Å, intensity 72.0; 3.619 Å, intensity 36.0; 2.770 Å, intensity 63.2; 2.759 Å, intensity 31.3; 2.750 Å, intensity 31.2; 2.650 Å, intensity 70.2; 2.559 Å, intensity 67.5; 2.199 Å, intensity 100.0; 2.185 Å, intensity 32.6; 1.847 Å, intensity 22.7

Structural model:
Unit cell a=8.9224 b=7.2496 c=5.3010 alpha=90.00 beta=125.91 gamma=90.00
Element x y z (fractional)
Li  0.0011  0.0000  0.2511
Li  0.4989  0.5000  0.7489
Li  0.5011  0.5000  0.2511
Li  0.9989  0.0000  0.7489
Nd  0.0000  0.5000  0.5000
Nd  0.5000  0.0000  0.5000
Ag  0.1960  0.3045  0.1963
Ag  0.1960  0.6955  0.1963
Ag  0.3040  0.1955  0.8037
Ag  0.3040  0.8045  0.8037
Ag  0.6960  0.1955  0.1963
Ag  0.6960  0.8045  0.1963
Ag  0.8040  0.3045  0.8037
Ag  0.8040  0.6955  0.8037

---

Entry 2:
Starting from DFT lattice parameters and positions (PBE), the powder XRD pattern of YEr3Sc6 was simulated for Cu Kα.

Top 10 peaks for 10 to 90 degrees two-theta, in order of rising 2θ:
4.612 Å, intensity 76.1; 2.922 Å, intensity 15.7; 2.665 Å, intensity 100.0; 2.309 Å, intensity 34.7; 2.066 Å, intensity 31.3; 1.745 Å, intensity 18.1; 1.743 Å, intensity 11.5; 1.539 Å, intensity 15.8; 1.537 Å, intensity 12.1; 1.332 Å, intensity 14.5

Structural model:
Unit cell a=6.5287 b=6.5287 c=6.5287 alpha=89.88 beta=89.88 gamma=89.88
Element x y z (fractional)
Y  0.0000  0.0000  0.0000
Er  0.2565  0.2565  0.2565
Er  0.5003  0.5003  0.5003
Er  0.7552  0.7552  0.7552
Sc  0.1360  0.8063  0.4640
Sc  0.3079  0.6313  0.9613
Sc  0.4640  0.1360  0.8063
Sc  0.6313  0.9613  0.3079
Sc  0.8063  0.4640  0.1360
Sc  0.9613  0.3079  0.6313

---

Entry 3:
Starting from DFT lattice parameters and positions (PBE), the powder XRD pattern of BaTe5 was simulated for Cu Kα.

Top 10 peaks for 10 to 90 degrees two-theta, in order of rising 2θ:
3.613 Å, intensity 30.2; 2.856 Å, intensity 100.0; 2.332 Å, intensity 14.0; 2.086 Å, intensity 20.9; 1.959 Å, intensity 10.9; 1.685 Å, intensity 13.2; 1.627 Å, intensity 7.6; 1.555 Å, intensity 16.3; 1.428 Å, intensity 16.1; 1.311 Å, intensity 10.8

Structural model:
Unit cell a=7.2267 b=7.2267 c=4.6633 alpha=90.00 beta=90.00 gamma=120.00
Element x y z (fractional)
Ba  0.0000  0.0000  0.0000
Te  0.0000  0.6105  0.5000
Te  0.3333  0.6667  0.0000
Te  0.3895  0.3895  0.5000
Te  0.6105  0.0000  0.5000
Te  0.6667  0.3333  0.0000

---

Entry 4:
Starting from DFT lattice parameters and positions (PBE), the powder XRD pattern of ZrSc3Co3 was simulated for Cu Kα.

Top 10 peaks for 10 to 90 degrees two-theta, in order of rising 2θ:
4.448 Å, intensity 46.0; 2.543 Å, intensity 21.5; 2.224 Å, intensity 100.0; 2.192 Å, intensity 95.6; 1.966 Å, intensity 10.0; 1.561 Å, intensity 30.3; 1.290 Å, intensity 15.2; 1.272 Å, intensity 28.8; 1.266 Å, intensity 14.2; 1.112 Å, intensity 9.3

Structural model:
Unit cell a=5.3831 b=5.3831 c=5.3831 alpha=109.07 beta=109.07 gamma=109.07
Element x y z (fractional)
Zr  0.0000  0.0000  0.0000
Sc  0.0000  0.5000  0.5000
Sc  0.5000  0.0000  0.5000
Sc  0.5000  0.5000  0.0000
Co  0.0000  0.0000  0.5000
Co  0.0000  0.5000  0.0000
Co  0.5000  0.0000  0.0000